The following is a calculated powder diffractogram of Er4Cd3Pb. It was derived from a crystal structure in Alexandria, relaxed with GGA-PBE, using Cu Kα (weighted mean of Kα1 and Kα2).
Kinematic intensities with the Lorentz-polarization factor, no thermal factor.

The 10 most intense peaks (10° ≤ 2θ ≤ 90°), low angle first:
2θ/deg, Rel. int.
33.89, 50.7
34.03, 100.0
48.68, 18.3
49.11, 8.8
60.73, 37.4
61.00, 18.3
71.31, 5.8
71.65, 11.4
81.38, 16.4
82.07, 7.9

Structure:
Lattice parameters (Å, degrees): 5.290 5.290 7.420 90.00 90.00 90.00
Positions (direct):
Er 0.000 0.500 0.245
Er 0.000 0.500 0.755
Er 0.500 0.000 0.245
Er 0.500 0.000 0.755
Cd 0.000 0.000 0.000
Cd 0.000 0.000 0.500
Cd 0.500 0.500 0.000
Pb 0.500 0.500 0.500

=====

The following is a calculated powder diffractogram of Er6Cd4Pb7. It was derived from a crystal structure in Alexandria, relaxed with GGA-PBE, using Cu Kα (weighted mean of Kα1 and Kα2).
Kinematic intensities with the Lorentz-polarization factor, no thermal factor.

The 10 most intense peaks (10° ≤ 2θ ≤ 90°), low angle first:
2θ/deg, Rel. int.
17.80, 14.7
31.08, 100.0
33.64, 21.8
36.04, 68.4
42.54, 16.6
51.89, 42.1
61.74, 31.8
64.81, 12.3
69.28, 11.7
87.55, 14.9

Structure:
Lattice parameters (Å, degrees): 8.632 8.632 8.632 109.47 109.47 109.47
Positions (direct):
Er 0.000 0.295 0.295
Er 0.000 0.705 0.705
Er 0.295 0.000 0.295
Er 0.295 0.295 0.000
Er 0.705 0.000 0.705
Er 0.705 0.705 0.000
Cd 0.000 0.000 0.500
Cd 0.000 0.500 0.000
Cd 0.500 0.000 0.000
Cd 0.500 0.500 0.500
Pb 0.000 0.000 0.000
Pb 0.250 0.500 0.750
Pb 0.250 0.750 0.500
Pb 0.500 0.250 0.750
Pb 0.500 0.750 0.250
Pb 0.750 0.250 0.500
Pb 0.750 0.500 0.250

=====

The following is a calculated powder diffractogram of ErCdPb. It was derived from a crystal structure in Alexandria, relaxed with GGA-PBE, using Cu Kα (weighted mean of Kα1 and Kα2).
Kinematic intensities with the Lorentz-polarization factor, no thermal factor.

The 10 most intense peaks (10° ≤ 2θ ≤ 90°), low angle first:
2θ/deg, Rel. int.
32.96, 100.0
33.79, 22.4
39.13, 16.0
41.46, 13.6
52.64, 12.8
54.52, 11.5
59.92, 16.1
67.01, 12.9
69.13, 11.3
70.26, 11.3

Structure:
Lattice parameters (Å, degrees): 8.284 8.284 4.356 90.00 90.00 147.73
Positions (direct):
Er 0.092 0.908 0.750
Er 0.908 0.092 0.250
Cd 0.257 0.743 0.250
Cd 0.743 0.257 0.750
Pb 0.420 0.580 0.750
Pb 0.580 0.420 0.250

=====

The following is a calculated powder diffractogram of ErTlCdPb. It was derived from a crystal structure in Alexandria, relaxed with GGA-PBE, using Cu Kα (weighted mean of Kα1 and Kα2).
Kinematic intensities with the Lorentz-polarization factor, no thermal factor.

The 10 most intense peaks (10° ≤ 2θ ≤ 90°), low angle first:
2θ/deg, Rel. int.
32.95, 100.0
36.27, 19.4
38.60, 16.3
39.76, 15.1
54.00, 12.4
54.91, 11.8
63.16, 15.6
66.29, 13.5
67.88, 12.6
69.12, 11.9

Structure:
Lattice parameters (Å, degrees): 4.534 4.665 4.953 90.00 90.00 90.00
Positions (direct):
Er 0.000 0.000 0.000
Tl 0.500 0.000 0.500
Cd 0.000 0.500 0.500
Pb 0.500 0.500 0.000

=====

The following is a calculated powder diffractogram of Er2Cd5Pd. It was derived from a crystal structure in Alexandria, relaxed with GGA-PBE, using Cu Kα (weighted mean of Kα1 and Kα2).
Kinematic intensities with the Lorentz-polarization factor, no thermal factor.

The 10 most intense peaks (10° ≤ 2θ ≤ 90°), low angle first:
2θ/deg, Rel. int.
21.48, 13.8
30.09, 61.5
37.27, 100.0
39.90, 20.8
48.31, 10.4
48.62, 15.9
62.82, 14.4
67.21, 27.0
68.98, 8.1
79.45, 12.9

Structure:
Lattice parameters (Å, degrees): 10.235 10.235 10.235 27.27 27.27 27.27
Positions (direct):
Er 0.089 0.089 0.089
Er 0.911 0.911 0.911
Cd 0.200 0.200 0.200
Cd 0.353 0.353 0.353
Cd 0.500 0.500 0.500
Cd 0.647 0.647 0.647
Cd 0.800 0.800 0.800
Pd 0.000 0.000 0.000

=====

The following is a calculated powder diffractogram of Er6CdPd5. It was derived from a crystal structure in Alexandria, relaxed with GGA-PBE, using Cu Kα (weighted mean of Kα1 and Kα2).
Kinematic intensities with the Lorentz-polarization factor, no thermal factor.

The 10 most intense peaks (10° ≤ 2θ ≤ 90°), low angle first:
2θ/deg, Rel. int.
36.09, 100.0
36.24, 49.5
51.75, 8.8
52.11, 8.6
52.27, 8.6
64.81, 17.6
65.06, 26.3
65.19, 8.5
87.34, 7.8
87.92, 5.8

Structure:
Lattice parameters (Å, degrees): 4.962 7.066 7.826 90.00 108.33 90.00
Positions (direct):
Er 0.000 0.239 0.000
Er 0.000 0.761 0.000
Er 0.329 0.246 0.658
Er 0.329 0.754 0.658
Er 0.671 0.246 0.342
Er 0.671 0.754 0.342
Cd 0.500 0.500 0.000
Pd 0.161 0.500 0.320
Pd 0.168 0.000 0.334
Pd 0.500 0.000 0.000
Pd 0.832 0.000 0.666
Pd 0.839 0.500 0.680

=====

The following is a calculated powder diffractogram of ErCd2Pd7. It was derived from a crystal structure in Alexandria, relaxed with GGA-PBE, using Cu Kα (weighted mean of Kα1 and Kα2).
Kinematic intensities with the Lorentz-polarization factor, no thermal factor.

The 10 most intense peaks (10° ≤ 2θ ≤ 90°), low angle first:
2θ/deg, Rel. int.
13.74, 40.6
20.44, 29.2
24.52, 22.0
24.71, 38.2
35.63, 33.2
40.27, 100.0
41.56, 39.3
43.28, 59.6
46.24, 21.3
77.19, 21.7

Structure:
Lattice parameters (Å, degrees): 7.887 7.887 4.346 90.00 90.00 125.20
Positions (direct):
Er 0.000 0.000 0.000
Cd 0.298 0.702 0.500
Cd 0.702 0.298 0.500
Pd 0.082 0.286 0.500
Pd 0.188 0.812 0.000
Pd 0.286 0.082 0.500
Pd 0.500 0.500 0.500
Pd 0.714 0.918 0.500
Pd 0.812 0.188 0.000
Pd 0.918 0.714 0.500

=====

The following is a calculated powder diffractogram of Er7CdPd4. It was derived from a crystal structure in Alexandria, relaxed with GGA-PBE, using Cu Kα (weighted mean of Kα1 and Kα2).
Kinematic intensities with the Lorentz-polarization factor, no thermal factor.

The 10 most intense peaks (10° ≤ 2θ ≤ 90°), low angle first:
2θ/deg, Rel. int.
26.92, 17.9
30.58, 29.7
32.56, 100.0
32.72, 30.7
34.25, 11.7
35.88, 47.5
38.46, 57.1
38.97, 11.4
45.26, 26.8
62.07, 14.0

Structure:
Lattice parameters (Å, degrees): 7.380 7.380 9.579 122.10 122.10 43.73
Positions (direct):
Er 0.000 0.000 0.000
Er 0.195 0.195 0.643
Er 0.288 0.288 0.117
Er 0.431 0.431 0.623
Er 0.569 0.569 0.377
Er 0.712 0.712 0.883
Er 0.805 0.805 0.357
Cd 0.500 0.500 0.000
Pd 0.063 0.063 0.770
Pd 0.200 0.200 0.342
Pd 0.800 0.800 0.658
Pd 0.937 0.937 0.230

=====

The following is a calculated powder diffractogram of Er2CdPd4. It was derived from a crystal structure in Alexandria, relaxed with GGA-PBE, using Cu Kα (weighted mean of Kα1 and Kα2).
Kinematic intensities with the Lorentz-polarization factor, no thermal factor.

The 10 most intense peaks (10° ≤ 2θ ≤ 90°), low angle first:
2θ/deg, Rel. int.
23.77, 27.6
24.83, 20.2
31.22, 40.6
35.12, 94.2
36.00, 97.8
39.34, 46.8
40.13, 93.3
41.20, 100.0
51.18, 63.9
68.26, 22.0

Structure:
Lattice parameters (Å, degrees): 4.619 4.619 7.490 94.95 94.95 65.39
Positions (direct):
Er 0.212 0.212 0.285
Er 0.788 0.788 0.715
Cd 0.500 0.500 0.000
Pd 0.144 0.144 0.884
Pd 0.406 0.406 0.637
Pd 0.594 0.594 0.363
Pd 0.856 0.856 0.116

=====

The following is a calculated powder diffractogram of ErCd3Pd6. It was derived from a crystal structure in Alexandria, relaxed with GGA-PBE, using Cu Kα (weighted mean of Kα1 and Kα2).
Kinematic intensities with the Lorentz-polarization factor, no thermal factor.

The 10 most intense peaks (10° ≤ 2θ ≤ 90°), low angle first:
2θ/deg, Rel. int.
37.86, 100.0
41.96, 17.1
42.34, 18.8
47.52, 13.1
61.13, 11.0
65.24, 8.8
65.51, 9.7
73.94, 10.6
74.46, 13.1
80.91, 9.6

Structure:
Lattice parameters (Å, degrees): 8.784 4.270 9.422 90.00 95.42 90.00
Positions (direct):
Er 0.063 0.250 0.375
Er 0.937 0.750 0.625
Cd 0.247 0.250 0.014
Cd 0.345 0.750 0.807
Cd 0.448 0.250 0.602
Cd 0.552 0.750 0.398
Cd 0.655 0.250 0.193
Cd 0.753 0.750 0.986
Pd 0.054 0.750 0.910
Pd 0.149 0.250 0.703
Pd 0.153 0.750 0.206
Pd 0.251 0.750 0.506
Pd 0.363 0.250 0.302
Pd 0.454 0.750 0.100
Pd 0.546 0.250 0.900
Pd 0.637 0.750 0.698
Pd 0.749 0.250 0.494
Pd 0.847 0.250 0.794
Pd 0.851 0.750 0.297
Pd 0.946 0.250 0.090

=====

The following is a calculated powder diffractogram of Er2Cd2Pd7. It was derived from a crystal structure in Alexandria, relaxed with GGA-PBE, using Cu Kα (weighted mean of Kα1 and Kα2).
Kinematic intensities with the Lorentz-polarization factor, no thermal factor.

The 10 most intense peaks (10° ≤ 2θ ≤ 90°), low angle first:
2θ/deg, Rel. int.
23.42, 31.5
27.83, 78.6
30.01, 24.7
34.71, 25.4
35.72, 21.9
39.90, 41.2
41.09, 100.0
41.45, 56.0
50.28, 31.4
50.69, 34.8

Structure:
Lattice parameters (Å, degrees): 5.781 5.781 7.013 90.00 90.00 102.85
Positions (direct):
Er 0.198 0.802 0.000
Er 0.802 0.198 0.000
Cd 0.316 0.316 0.500
Cd 0.684 0.684 0.500
Pd 0.000 0.000 0.293
Pd 0.000 0.000 0.707
Pd 0.000 0.500 0.291
Pd 0.000 0.500 0.709
Pd 0.500 0.000 0.291
Pd 0.500 0.000 0.709
Pd 0.500 0.500 0.000

=====

The following is a calculated powder diffractogram of SmErCdPd. It was derived from a crystal structure in Alexandria, relaxed with GGA-PBE, using Cu Kα (weighted mean of Kα1 and Kα2).
Kinematic intensities with the Lorentz-polarization factor, no thermal factor.

The 10 most intense peaks (10° ≤ 2θ ≤ 90°), low angle first:
2θ/deg, Rel. int.
24.42, 3.4
34.81, 100.0
42.98, 1.1
50.05, 17.7
56.45, 1.6
62.41, 36.2
73.49, 11.1
78.77, 0.8
83.95, 15.8
89.09, 0.5

Structure:
Lattice parameters (Å, degrees): 5.155 5.155 5.155 60.00 60.00 60.00
Positions (direct):
Sm 0.000 0.000 0.000
Er 0.500 0.500 0.500
Cd 0.750 0.750 0.750
Pd 0.250 0.250 0.250